# 1
La2GdMg3Ag3: computed X-ray diffraction stick pattern (Cu Kα), based on a PBE-relaxed structure.
Lines closer than 0.1° are merged.

Top 10 peaks for 5 to 70 degrees two-theta, most intense first:
d/Å  2theta  intensity
2.667  33.6  100
2.901  30.8  76
3.908  22.8  32
2.257  40.0  27
2.203  41.0  25
2.165  41.7  23
1.723  53.2  22
3.385  26.3  22
2.559  35.1  21
1.562  59.1  16

Atomic structure:
```
data_La2GdMg3Ag3
_cell_length_a 4.329
_cell_length_b 13.524
_cell_length_c 7.826
_cell_angle_alpha 90.00
_cell_angle_beta 90.00
_cell_angle_gamma 90.00
_space_group_name_H-M_alt 'P 1'
_space_group_IT_number 1
_space_group_name_Hall 'P 1'
loop_
_atom_site_label
_atom_site_fract_x
_atom_site_fract_y
_atom_site_fract_z
_atom_site_occupancy
La1 0.000 0.043 0.000 1
La2 0.000 0.255 0.376 1
La3 0.000 0.745 0.876 1
La4 0.000 0.957 0.500 1
Gd1 0.000 0.459 0.999 1
Gd2 0.000 0.541 0.499 1
Mg1 0.500 0.133 0.673 1
Mg2 0.500 0.256 0.030 1
Mg3 0.500 0.374 0.673 1
Mg4 0.500 0.626 0.173 1
Mg5 0.500 0.744 0.530 1
Mg6 0.500 0.867 0.173 1
Ag1 0.000 0.255 0.795 1
Ag2 0.000 0.745 0.295 1
Ag3 0.500 0.085 0.291 1
Ag4 0.500 0.423 0.290 1
Ag5 0.500 0.577 0.790 1
Ag6 0.500 0.915 0.791 1
```

=====

# 2
HoErB2Ir2N2: computed X-ray diffraction stick pattern (Cu Kα), based on a PBE-relaxed structure.
Lines closer than 0.1° are merged.

Top 10 peaks for 5 to 70 degrees two-theta, most intense first:
d/Å  2theta  intensity
2.486  36.1  100
2.150  42.0  60
7.410  11.9  42
3.333  26.7  41
2.470  36.4  40
1.866  48.8  38
1.489  62.4  33
2.629  34.1  30
1.516  61.1  26
1.522  60.9  12

Atomic structure:
```
data_HoErB2Ir2N2
_cell_length_a 3.732
_cell_length_b 3.732
_cell_length_c 7.410
_cell_angle_alpha 90.00
_cell_angle_beta 90.00
_cell_angle_gamma 90.00
_space_group_name_H-M_alt 'P 1'
_space_group_IT_number 1
_space_group_name_Hall 'P 1'
loop_
_atom_site_label
_atom_site_fract_x
_atom_site_fract_y
_atom_site_fract_z
_atom_site_occupancy
Ho1 0.000 0.000 0.000 1
Er1 0.500 0.500 0.677 1
B1 0.000 0.000 0.495 1
B2 0.500 0.500 0.181 1
Ir1 0.000 0.500 0.339 1
Ir2 0.500 0.000 0.339 1
N1 0.000 0.000 0.697 1
N2 0.500 0.500 0.979 1
```